Computed XRD peak list of NaLi2AsF6 for Cu Kα, 1.54184 Å, from a crystal structure in the Materials Project, relaxed with GGA-PBE.

Main lines, by angle (10° ≤ 2θ ≤ 90°):
| Position (°2θ) | I (rel.) |
| --- | --- |
| 18.2 | 37 |
| 21.0 | 100 |
| 29.9 | 24 |
| 35.2 | 15 |
| 42.8 | 43 |
| 48.2 | 39 |
| 53.1 | 10 |
| 56.6 | 7 |
| 62.1 | 24 |
| 66.4 | 17 |

Crystal structure
Lattice parameters (Å, degrees): 5.9751 5.9751 5.9751 60.00 60.00 60.00
Element x y z (fractional)
Na  0.0000  0.0000  0.0000
Li  0.2500  0.2500  0.2500
Li  0.7500  0.7500  0.7500
As  0.5000  0.5000  0.5000
F  0.2583  0.2583  0.7417
F  0.2583  0.7417  0.2583
F  0.2583  0.7417  0.7417
F  0.7417  0.2583  0.2583
F  0.7417  0.2583  0.7417
F  0.7417  0.7417  0.2583

---

Computed XRD peak list of K3Cr for Cu Kα, 1.54184 Å, from a crystal structure in the Materials Project, relaxed with GGA-PBE.

Main lines, by angle (10° ≤ 2θ ≤ 90°):
| Position (°2θ) | I (rel.) |
| --- | --- |
| 26.3 | 100 |
| 29.7 | 36 |
| 32.1 | 14 |
| 42.5 | 12 |
| 44.3 | 21 |
| 50.7 | 27 |
| 53.8 | 11 |
| 54.2 | 11 |
| 70.8 | 9 |
| 79.0 | 6 |

Crystal structure
Lattice parameters (Å, degrees): 7.0172 7.0172 7.0172 129.21 129.21 74.67
Element x y z (fractional)
K  0.0000  0.0000  0.0000
K  0.2500  0.7500  0.5000
K  0.7500  0.2500  0.5000
Cr  0.5000  0.5000  0.0000

---

Computed XRD peak list of K5As2Au for Cu Kα, 1.54184 Å, from a crystal structure in the Materials Project, relaxed with GGA-PBE.

Main lines, by angle (10° ≤ 2θ ≤ 90°):
| Position (°2θ) | I (rel.) |
| --- | --- |
| 17.6 | 29 |
| 18.2 | 94 |
| 30.8 | 100 |
| 32.2 | 19 |
| 32.8 | 22 |
| 36.0 | 19 |
| 36.9 | 47 |
| 48.8 | 42 |
| 54.8 | 18 |
| 58.8 | 19 |

Crystal structure
Lattice parameters (Å, degrees): 5.8035 5.8035 19.5175 90.00 90.00 120.00
Element x y z (fractional)
K  0.0000  0.0000  0.1453
K  0.0000  0.0000  0.3547
K  0.0000  0.0000  0.6453
K  0.0000  0.0000  0.8547
K  0.3333  0.6667  0.0492
K  0.3333  0.6667  0.2500
K  0.3333  0.6667  0.4508
K  0.6667  0.3333  0.5492
K  0.6667  0.3333  0.7500
K  0.6667  0.3333  0.9508
As  0.3333  0.6667  0.6210
As  0.3333  0.6667  0.8790
As  0.6667  0.3333  0.1210
As  0.6667  0.3333  0.3790
Au  0.3333  0.6667  0.7500
Au  0.6667  0.3333  0.2500

---

Computed XRD peak list of TiPRu for Cu Kα, 1.54184 Å, from a crystal structure in the Materials Project, relaxed with GGA-PBE.

Main lines, by angle (10° ≤ 2θ ≤ 90°):
| Position (°2θ) | I (rel.) |
| --- | --- |
| 16.3 | 21 |
| 24.2 | 24 |
| 28.5 | 23 |
| 37.7 | 100 |
| 41.4 | 57 |
| 44.1 | 62 |
| 49.6 | 24 |
| 51.0 | 39 |
| 68.6 | 32 |
| 81.7 | 23 |

Crystal structure
Lattice parameters (Å, degrees): 6.2671 6.2671 3.6730 90.00 90.00 120.00
Element x y z (fractional)
Ti  0.0000  0.5841  0.0000
Ti  0.4159  0.4159  0.0000
Ti  0.5841  0.0000  0.0000
P  0.0000  0.0000  0.0000
P  0.3333  0.6667  0.5000
P  0.6667  0.3333  0.5000
Ru  0.0000  0.2510  0.5000
Ru  0.2510  0.0000  0.5000
Ru  0.7490  0.7490  0.5000

---

Computed XRD peak list of Ba2B2O5 for Cu Kα, 1.54184 Å, from a crystal structure in the Materials Project, relaxed with GGA-PBE.

Main lines, by angle (10° ≤ 2θ ≤ 90°):
| Position (°2θ) | I (rel.) |
| --- | --- |
| 17.3 | 56 |
| 25.2 | 43 |
| 26.4 | 27 |
| 26.6 | 76 |
| 27.2 | 55 |
| 27.4 | 100 |
| 28.5 | 52 |
| 42.7 | 24 |
| 44.8 | 25 |
| 45.3 | 27 |

Crystal structure
Lattice parameters (Å, degrees): 8.4748 5.6134 12.5226 90.00 90.85 90.00
Element x y z (fractional)
Ba  0.1163  0.0482  0.3659
Ba  0.1163  0.4518  0.8659
Ba  0.3787  0.5827  0.1560
Ba  0.3787  0.9173  0.6560
Ba  0.6213  0.0827  0.3440
Ba  0.6213  0.4173  0.8440
Ba  0.8837  0.5482  0.1341
Ba  0.8837  0.9518  0.6341
B  0.1631  0.0430  0.0812
B  0.1631  0.4570  0.5812
B  0.3369  0.5656  0.4074
B  0.3369  0.9344  0.9074
B  0.6631  0.0656  0.0926
B  0.6631  0.4344  0.5926
B  0.8369  0.5430  0.4188
B  0.8369  0.9570  0.9188
O  0.1059  0.5950  0.6625
O  0.1059  0.9050  0.1625
O  0.1471  0.2152  0.5721
O  0.1471  0.2848  0.0721
O  0.2520  0.5961  0.5047
O  0.2520  0.9039  0.0047
O  0.3580  0.1502  0.8592
O  0.3580  0.3498  0.3592
O  0.3859  0.7244  0.8618
O  0.3859  0.7756  0.3618
O  0.6141  0.2244  0.6382
O  0.6141  0.2756  0.1382
O  0.6420  0.6502  0.6408
O  0.6420  0.8498  0.1408
O  0.7480  0.0961  0.9953
O  0.7480  0.4039  0.4953
O  0.8529  0.7152  0.9279
O  0.8529  0.7848  0.4279
O  0.8941  0.0950  0.8375
O  0.8941  0.4050  0.3375

---

Computed XRD peak list of MgSn2 for Cu Kα, 1.54184 Å, from a crystal structure in the Materials Project, relaxed with GGA-PBE.

Main lines, by angle (10° ≤ 2θ ≤ 90°):
| Position (°2θ) | I (rel.) |
| --- | --- |
| 19.4 | 33 |
| 30.9 | 21 |
| 33.1 | 38 |
| 35.2 | 100 |
| 35.6 | 44 |
| 45.9 | 14 |
| 55.6 | 18 |
| 60.4 | 22 |
| 66.3 | 21 |
| 67.0 | 15 |

Crystal structure
Lattice parameters (Å, degrees): 8.7043 8.7043 5.4205 90.00 90.00 157.77
Element x y z (fractional)
Mg  0.1113  0.8887  0.7500
Mg  0.8887  0.1113  0.2500
Sn  0.2239  0.7761  0.2500
Sn  0.4432  0.5568  0.7500
Sn  0.5568  0.4432  0.2500
Sn  0.7761  0.2239  0.7500

---

Computed XRD peak list of Mn4In4Se5S5 for Cu Kα, 1.54184 Å, from a crystal structure in the Materials Project, relaxed with GGA-PBE.

Main lines, by angle (10° ≤ 2θ ≤ 90°):
| Position (°2θ) | I (rel.) |
| --- | --- |
| 16.3 | 58 |
| 21.8 | 44 |
| 25.8 | 65 |
| 26.4 | 50 |
| 30.6 | 50 |
| 30.7 | 100 |
| 34.1 | 43 |
| 45.5 | 75 |
| 47.0 | 40 |
| 47.1 | 59 |

Crystal structure
Lattice parameters (Å, degrees): 3.9750 6.9184 16.7469 101.66 96.64 90.09
Element x y z (fractional)
Mn  0.0000  0.0000  0.0000
Mn  0.0926  0.7534  0.1819
Mn  0.4993  0.5112  0.9986
Mn  0.5923  0.2790  0.1802
In  0.2072  0.2155  0.4148
In  0.3913  0.0627  0.7786
In  0.7045  0.7110  0.4087
In  0.8888  0.5601  0.7760
Se  0.1307  0.1364  0.2586
Se  0.2447  0.9149  0.4906
Se  0.3499  0.3531  0.6967
Se  0.7457  0.4252  0.4932
Se  0.8516  0.8561  0.6981
S  0.0459  0.3899  0.0935
S  0.4628  0.1384  0.9274
S  0.5450  0.8799  0.0890
S  0.6307  0.6380  0.2597
S  0.9617  0.6342  0.9248